This entry pairs a crystal structure of TiNiP with its calculated powder diffraction line list. Radiation: CuKα. Structure: DFT lattice parameters and positions (PBE).
No peak broadening, texture or thermal motion is included.

Structural model:
```
6
Lattice="3.5068 0.0000 0.0000 0.0000 3.5068 0.0000 0.0000 0.0000 6.2009" Properties=species:S:1:pos:R:3 pbc="T T T"
Ti 0.8767 0.8767 0.9034
Ti 2.6301 2.6301 5.2975
Ni 0.8767 2.6301 3.1005
Ni 2.6301 0.8767 3.1005
P 0.8767 0.8767 4.5939
P 2.6301 2.6301 1.6070
```

Most intense lines, 10 to 90 degrees two-theta, sorted by position:
2θ (°)	d (Å)	intensity	hkl
14.28	6.201	506	0 0 1
38.77	2.323	289	1 0 2
39.12	2.302	1000	1 1 1
43.80	2.067	224	0 0 3
46.92	1.937	778	1 1 2
51.31	1.781	115	1 0 3
52.17	1.753	486	2 0 0
70.42	1.337	191	2 0 3
76.89	1.240	165	2 2 0
89.86	1.092	156	3 1 1